Calculated XRD peak list
Compound: Rb2BeH3
Radiation: Cu Kα, 1.54184 Å
Structure: the GGA-PBE geometry in Alexandria

Top 12 peaks for 10 to 80 degrees two-theta, sorted by position:
d (Å), I_rel
4.229, 517
4.115, 535
3.966, 1000
2.949, 518
2.893, 964
2.346, 270
2.052, 317
1.996, 145
1.983, 152
1.866, 225
1.796, 222
1.571, 141

Crystal structure
```
data_Rb2BeH3
_chemical_formula_sum 'Rb4 Be2 H6'
_symmetry_space_group_name_H-M 'P 1'
_symmetry_Int_Tables_number 1
_cell_length_a 9.3925
_cell_length_b 9.2529
_cell_length_c 6.1950
_cell_angle_alpha 71.82
_cell_angle_beta 69.38
_cell_angle_gamma 38.80
loop_
_symmetry_equiv_pos_as_xyz
'x,y,z'
loop_
_atom_site_label
_atom_site_type_symbol
_atom_site_fract_x
_atom_site_fract_y
_atom_site_fract_z
Rb1 Rb 0.2347 0.7653 0.7653
Rb2 Rb 0.2500 0.2500 0.2500
Rb3 Rb 0.7500 0.7500 0.7500
Rb4 Rb 0.7653 0.2347 0.2347
Be1 Be 0.1579 0.1579 0.8421
Be2 Be 0.8421 0.8421 0.1579
H1 H 0.0210 0.7507 0.2493
H2 H 0.2437 0.2437 0.7563
H3 H 0.2493 0.9790 0.0210
H4 H 0.7507 0.0210 0.9790
H5 H 0.7563 0.7563 0.2437
H6 H 0.9790 0.2493 0.7507
```

---

Calculated XRD peak list
Compound: RbBeH3
Radiation: Cu Kα, 1.54184 Å
Structure: the GGA-PBE geometry in Alexandria

Top 12 peaks for 10 to 80 degrees two-theta, sorted by position:
d (Å), I_rel
4.963, 288
3.187, 1000
2.865, 579
2.131, 344
1.917, 93
1.710, 309
1.682, 174
1.654, 106
1.392, 71
1.334, 70
1.307, 133
1.294, 72

Crystal structure
```
data_RbBeH3
_chemical_formula_sum 'Rb2 Be2 H6'
_symmetry_space_group_name_H-M 'P 1'
_symmetry_Int_Tables_number 1
_cell_length_a 5.7305
_cell_length_b 5.7305
_cell_length_c 4.1565
_cell_angle_alpha 90.00
_cell_angle_beta 90.00
_cell_angle_gamma 120.00
loop_
_symmetry_equiv_pos_as_xyz
'x,y,z'
loop_
_atom_site_label
_atom_site_type_symbol
_atom_site_fract_x
_atom_site_fract_y
_atom_site_fract_z
Rb1 Rb 0.3333 0.6667 0.2500
Rb2 Rb 0.6667 0.3333 0.7500
Be1 Be 0.0000 0.0000 0.0000
Be2 Be 0.0000 0.0000 0.5000
H1 H 0.1272 0.2545 0.7500
H2 H 0.1272 0.8728 0.7500
H3 H 0.2545 0.1272 0.2500
H4 H 0.7455 0.8728 0.7500
H5 H 0.8728 0.1272 0.2500
H6 H 0.8728 0.7455 0.2500
```